# CsFeS2O8
Computed powder X-ray diffraction pattern, Cu Kα (weighted mean of Kα1 and Kα2). Input: DFT lattice parameters and positions (GGA+U).
Kinematic intensities with the Lorentz-polarization factor, no thermal factor.

```
12
Lattice="4.974 0.000 0.000 -2.487 4.308 0.000 0.000 0.000 9.064" Properties=species:S:1:pos:R:3 pbc="T T T"
Cs 0.000 0.000 0.000
Fe 0.000 0.000 4.532
S 0.000 2.872 2.836
S 2.487 1.436 6.228
O -1.392 3.099 3.338
O 0.499 1.553 3.338
O 0.000 2.872 1.371
O 1.594 0.345 5.726
O 0.893 3.963 3.338
O 2.487 1.436 7.693
O 1.988 2.755 5.726
O 3.879 1.208 5.726
```

Largest 10 diffraction maxima, in order of rising 2θ, 10 to 90 degrees two-theta:
4.532 Å, 2θ = 19.6°, intensity 12
4.308 Å, 2θ = 20.6°, intensity 43
3.891 Å, 2θ = 22.9°, intensity 54
3.122 Å, 2θ = 28.6°, intensity 100
2.487 Å, 2θ = 36.1°, intensity 33
2.180 Å, 2θ = 41.4°, intensity 17
2.005 Å, 2θ = 45.2°, intensity 23
1.945 Å, 2θ = 46.7°, intensity 25
1.675 Å, 2θ = 54.8°, intensity 13
1.532 Å, 2θ = 60.4°, intensity 21



# Li2CoNi3O8
Computed powder X-ray diffraction pattern, Cu Kα (weighted mean of Kα1 and Kα2). Input: DFT lattice parameters and positions (GGA+U).
Kinematic intensities with the Lorentz-polarization factor, no thermal factor.

```
56
Lattice="8.096 0.000 0.000 0.006 8.149 0.000 0.026 0.008 8.209" Properties=species:S:1:pos:R:3 pbc="T T T"
Li 0.000 0.000 0.000
Li 0.018 4.072 4.107
Li 2.021 6.072 2.063
Li 2.033 2.002 6.166
Li 4.042 4.040 0.021
Li 4.075 8.110 4.124
Li 6.077 6.100 6.138
Li 6.080 2.025 2.035
Co 1.017 0.997 3.083
Co 3.053 5.070 5.144
Co 5.061 7.101 1.029
Co 7.103 3.048 7.170
Ni 1.003 3.019 1.026
Ni 1.033 5.059 7.172
Ni 1.039 7.106 5.125
Ni 3.031 3.022 3.106
Ni 3.038 0.973 1.049
Ni 3.069 7.094 7.196
Ni 5.059 5.076 3.078
Ni 5.074 3.053 5.147
Ni 5.086 1.006 7.204
Ni 7.076 5.075 1.003
Ni 7.094 7.123 3.065
Ni 7.098 1.018 5.128
O 0.901 3.175 7.225
O 0.883 4.967 0.877
O 0.897 0.898 5.003
O 0.908 7.237 3.185
O 1.134 1.084 1.175
O 1.147 2.894 3.042
O 1.153 5.171 5.265
O 1.162 6.981 7.074
O 2.921 1.079 2.967
O 2.920 2.892 1.167
O 2.937 5.159 7.058
O 2.935 6.976 5.208
O 3.153 4.966 3.225
O 3.177 0.892 7.339
O 3.169 3.151 5.040
O 3.161 7.231 0.976
O 4.939 3.137 3.219
O 4.946 4.940 5.068
O 4.937 0.865 0.929
O 4.963 7.194 7.324
O 5.180 7.002 2.943
O 5.197 1.138 5.255
O 5.206 2.965 7.058
O 5.194 5.197 1.084
O 6.982 1.145 7.113
O 6.971 2.962 5.256
O 6.964 7.017 1.140
O 6.974 5.203 2.947
O 7.193 3.134 0.879
O 7.210 0.872 3.140
O 7.225 4.962 7.277
O 7.225 7.212 4.988
```

Largest 10 diffraction maxima, in order of rising 2θ, 10 to 90 degrees two-theta:
4.706 Å, 2θ = 18.9°, intensity 100
2.470 Å, 2θ = 36.4°, intensity 16
2.457 Å, 2θ = 36.6°, intensity 16
2.446 Å, 2θ = 36.7°, intensity 15
2.356 Å, 2θ = 38.2°, intensity 7
2.052 Å, 2θ = 44.1°, intensity 18
2.037 Å, 2θ = 44.5°, intensity 17
2.024 Å, 2θ = 44.8°, intensity 17
1.446 Å, 2θ = 64.4°, intensity 10
1.436 Å, 2θ = 64.9°, intensity 10



# Ca3Mn2O7
Computed powder X-ray diffraction pattern, Cu Kα (weighted mean of Kα1 and Kα2). Input: DFT lattice parameters and positions (GGA+U).
Kinematic intensities with the Lorentz-polarization factor, no thermal factor.

```
12
Lattice="-1.893 1.893 9.683 1.893 -1.893 9.683 1.893 1.893 -9.683" Properties=species:S:1:pos:R:3 pbc="T T T"
Ca 0.000 0.000 0.000
Ca 0.000 0.000 3.558
Ca 0.000 0.000 15.808
Mn 0.000 0.000 7.745
Mn 0.000 0.000 11.622
O 1.893 0.000 1.895
O 0.000 0.000 5.847
O 1.893 0.000 7.789
O 0.000 0.000 9.683
O 0.000 1.893 1.895
O 0.000 0.000 13.520
O 0.000 1.893 7.789
```

Largest 10 diffraction maxima, in order of rising 2θ, 10 to 90 degrees two-theta:
4.842 Å, 2θ = 18.3°, intensity 26
2.707 Å, 2θ = 33.1°, intensity 100
2.677 Å, 2θ = 33.5°, intensity 76
1.937 Å, 2θ = 46.9°, intensity 26
1.893 Å, 2θ = 48.1°, intensity 61
1.871 Å, 2θ = 48.7°, intensity 14
1.569 Å, 2θ = 58.9°, intensity 18
1.551 Å, 2θ = 59.6°, intensity 35
1.354 Å, 2θ = 69.4°, intensity 26
1.339 Å, 2θ = 70.3°, intensity 16



# K2RbMoF6
Computed powder X-ray diffraction pattern, Cu Kα (weighted mean of Kα1 and Kα2). Input: DFT lattice parameters and positions (GGA+U).
Kinematic intensities with the Lorentz-polarization factor, no thermal factor.

```
10
Lattice="0.000 4.702 4.702 4.702 0.000 4.702 4.702 4.702 0.000" Properties=species:S:1:pos:R:3 pbc="T T T"
K 2.351 2.351 2.351
K 7.054 7.054 7.054
Rb 0.000 0.000 0.000
Mo 4.702 4.702 4.702
F 4.702 4.702 2.630
F 4.702 2.630 4.702
F 6.775 4.702 4.702
F 2.630 4.702 4.702
F 4.702 6.775 4.702
F 4.702 4.702 6.775
```

Largest 10 diffraction maxima, in order of rising 2θ, 10 to 90 degrees two-theta:
4.702 Å, 2θ = 18.9°, intensity 46
3.325 Å, 2θ = 26.8°, intensity 100
2.351 Å, 2θ = 38.3°, intensity 49
2.103 Å, 2θ = 43.0°, intensity 19
1.920 Å, 2θ = 47.4°, intensity 37
1.663 Å, 2θ = 55.3°, intensity 28
1.567 Å, 2θ = 58.9°, intensity 9
1.487 Å, 2θ = 62.5°, intensity 20
1.257 Å, 2θ = 75.7°, intensity 21
1.108 Å, 2θ = 88.1°, intensity 10